No. 1
# NaCaSnPt
Simulated X-ray diffraction stick pattern, CuKα. Input: a structure optimized by DFT (PBE).
No peak broadening, texture or thermal motion is included.

Principal peaks in the range 5 to 70 degrees two-theta, sorted by position:
d/Å	2θ (°)	Rel. int.
4.034	22.03	55.0
2.470	36.37	100.0
2.107	42.93	30.4
1.747	52.38	17.6
1.603	57.49	13.3
1.426	65.44	36.0

Structural model:
Cell lengths 4.941, 4.941, 4.941 Å; angles 60.00, 60.00, 60.00 degrees
Element x y z (fractional)
Na 0.000 0.000 0.000
Ca 0.750 0.750 0.750
Sn 0.250 0.250 0.250
Pt 0.500 0.500 0.500

=====

No. 2
# CaPr3Dy
Simulated X-ray diffraction stick pattern, CuKα. Input: a structure optimized by DFT (PBE).
No peak broadening, texture or thermal motion is included.

Principal peaks in the range 5 to 70 degrees two-theta, sorted by position:
d/Å	2θ (°)	Rel. int.
11.497	7.69	75.0
3.153	28.30	31.4
3.047	29.31	100.0
2.796	32.01	44.1
2.765	32.38	71.2
2.435	36.92	26.6

Structural model:
Cell lengths 6.373, 6.373, 11.497 Å; angles 90.00, 90.00, 127.96 degrees
Element x y z (fractional)
Ca 0.156 0.844 0.000
Ca 0.844 0.156 0.000
Pr 0.153 0.847 0.308
Pr 0.153 0.847 0.692
Pr 0.500 0.500 0.190
Pr 0.500 0.500 0.810
Pr 0.847 0.153 0.308
Pr 0.847 0.153 0.692
Dy 0.361 0.639 0.500
Dy 0.639 0.361 0.500

=====

No. 3
# Na2Sc2UTe6
Simulated X-ray diffraction stick pattern, CuKα. Input: a structure optimized by DFT (PBE).
No peak broadening, texture or thermal motion is included.

Principal peaks in the range 5 to 70 degrees two-theta, sorted by position:
d/Å	2θ (°)	Rel. int.
7.637	11.59	53.9
3.104	28.76	100.0
3.091	28.88	49.8
2.260	39.90	37.5
2.128	42.47	52.9
1.755	52.13	28.0

Structural model:
Cell lengths 7.377, 7.377, 8.012 Å; angles 98.68, 98.68, 120.12 degrees
Element x y z (fractional)
Na 0.162 0.838 0.000
Na 0.838 0.162 0.000
Sc 0.332 0.668 0.500
Sc 0.668 0.332 0.500
U 0.000 0.000 0.500
Te 0.075 0.417 0.724
Te 0.273 0.273 0.278
Te 0.417 0.075 0.724
Te 0.583 0.925 0.276
Te 0.727 0.727 0.722
Te 0.925 0.583 0.276

=====

No. 4
# Hf2ScTiO
Simulated X-ray diffraction stick pattern, CuKα. Input: a structure optimized by DFT (PBE).
No peak broadening, texture or thermal motion is included.

Principal peaks in the range 5 to 70 degrees two-theta, sorted by position:
d/Å	2θ (°)	Rel. int.
4.386	20.25	40.3
3.154	28.30	27.4
2.560	35.05	100.0
2.230	40.45	38.9
1.988	45.64	20.4
1.564	59.08	24.9

Structural model:
Cell lengths 4.460, 4.460, 4.386 Å; angles 90.00, 90.00, 90.00 degrees
Element x y z (fractional)
Hf 0.000 0.500 0.000
Hf 0.500 0.000 0.000
Sc 0.000 0.000 0.500
Ti 0.500 0.500 0.500
O 0.000 0.000 0.000

=====

No. 5
# Pr5Dy4Y2
Simulated X-ray diffraction stick pattern, CuKα. Input: a structure optimized by DFT (PBE).
No peak broadening, texture or thermal motion is included.

Principal peaks in the range 5 to 70 degrees two-theta, sorted by position:
d/Å	2θ (°)	Rel. int.
3.025	29.52	48.3
2.986	29.92	39.2
2.893	30.91	100.0
2.806	31.90	56.2
2.770	32.32	94.8
2.634	34.04	22.8

Structural model:
Cell lengths 9.100, 9.100, 6.689 Å; angles 99.44, 99.44, 43.97 degrees
Element x y z (fractional)
Pr 0.000 0.000 0.000
Pr 0.177 0.644 0.594
Pr 0.356 0.823 0.406
Pr 0.644 0.177 0.594
Pr 0.823 0.356 0.406
Dy 0.245 0.245 0.322
Dy 0.409 0.409 0.091
Dy 0.591 0.591 0.909
Dy 0.755 0.755 0.678
Y 0.204 0.204 0.812
Y 0.796 0.796 0.188

=====

No. 6
# YTmSc2Se6
Simulated X-ray diffraction stick pattern, CuKα. Input: a structure optimized by DFT (PBE).
No peak broadening, texture or thermal motion is included.

Principal peaks in the range 5 to 70 degrees two-theta, sorted by position:
d/Å	2θ (°)	Rel. int.
5.086	17.44	45.4
3.717	23.94	33.0
3.049	29.29	100.0
2.543	35.29	23.5
2.335	38.56	82.6
2.013	45.03	54.9

Structural model:
Cell lengths 7.466, 7.466, 7.466 Å; angles 55.69, 55.69, 55.69 degrees
Element x y z (fractional)
Y 0.000 0.000 0.000
Tm 0.499 0.499 0.499
Sc 0.306 0.306 0.306
Sc 0.807 0.807 0.807
Se 0.079 0.425 0.691
Se 0.197 0.919 0.577
Se 0.425 0.691 0.079
Se 0.577 0.197 0.919
Se 0.691 0.079 0.425
Se 0.919 0.577 0.197

=====

No. 7
# Ac4Cd5Ni2
Simulated X-ray diffraction stick pattern, CuKα. Input: a structure optimized by DFT (PBE).
No peak broadening, texture or thermal motion is included.

Principal peaks in the range 5 to 70 degrees two-theta, sorted by position:
d/Å	2θ (°)	Rel. int.
2.968	30.11	100.0
2.864	31.23	74.9
2.840	31.50	69.3
2.687	33.35	57.4
2.552	35.17	47.3
2.524	35.57	48.6

Structural model:
Cell lengths 7.959, 4.070, 9.859 Å; angles 90.00, 94.71, 90.00 degrees
Element x y z (fractional)
Ac 0.167 0.000 0.348
Ac 0.231 0.000 0.944
Ac 0.769 0.000 0.056
Ac 0.833 0.000 0.652
Cd 0.188 0.500 0.652
Cd 0.447 0.500 0.189
Cd 0.500 0.500 0.500
Cd 0.553 0.500 0.811
Cd 0.812 0.500 0.348
Ni 0.062 0.500 0.126
Ni 0.938 0.500 0.874

=====

No. 8
# PaAg6F12
Simulated X-ray diffraction stick pattern, CuKα. Input: a structure optimized by DFT (PBE).
No peak broadening, texture or thermal motion is included.

Principal peaks in the range 5 to 70 degrees two-theta, sorted by position:
d/Å	2θ (°)	Rel. int.
3.435	25.94	31.2
3.283	27.16	100.0
2.876	31.10	43.9
2.068	43.79	27.8
2.000	45.35	31.2
1.728	52.98	26.2

Structural model:
Cell lengths 7.009, 7.009, 7.009 Å; angles 98.02, 98.02, 98.02 degrees
Element x y z (fractional)
Pa 0.000 0.000 0.000
Ag 0.153 0.604 0.345
Ag 0.345 0.153 0.604
Ag 0.396 0.655 0.847
Ag 0.604 0.345 0.153
Ag 0.655 0.847 0.396
Ag 0.847 0.396 0.655
F 0.020 0.702 0.920
F 0.080 0.980 0.298
F 0.166 0.400 0.609
F 0.298 0.080 0.980
F 0.391 0.834 0.600
F 0.400 0.609 0.166
F 0.600 0.391 0.834
F 0.609 0.166 0.400
F 0.702 0.920 0.020
F 0.834 0.600 0.391
F 0.920 0.020 0.702
F 0.980 0.298 0.080

=====

No. 9
# SrCd12Hg7
Simulated X-ray diffraction stick pattern, CuKα. Input: a structure optimized by DFT (PBE).
No peak broadening, texture or thermal motion is included.

Principal peaks in the range 5 to 70 degrees two-theta, sorted by position:
d/Å	2θ (°)	Rel. int.
2.787	32.12	88.9
2.669	33.58	100.0
2.541	35.32	41.4
2.457	36.57	65.1
2.284	39.45	93.2
1.997	45.42	47.3

Structural model:
Cell lengths 8.933, 8.933, 8.933 Å; angles 111.24, 111.24, 111.24 degrees
Element x y z (fractional)
Sr 0.000 0.000 0.000
Cd 0.109 0.790 0.332
Cd 0.168 0.535 0.484
Cd 0.210 0.668 0.891
Cd 0.332 0.109 0.790
Cd 0.465 0.516 0.832
Cd 0.484 0.168 0.535
Cd 0.516 0.832 0.465
Cd 0.535 0.484 0.168
Cd 0.668 0.891 0.210
Cd 0.790 0.332 0.109
Cd 0.832 0.465 0.516
Cd 0.891 0.210 0.668
Hg 0.094 0.159 0.448
Hg 0.159 0.448 0.094
Hg 0.448 0.094 0.159
Hg 0.500 0.500 0.500
Hg 0.552 0.906 0.841
Hg 0.841 0.552 0.906
Hg 0.906 0.841 0.552

=====

No. 10
# LiTl6C2O6F2
Simulated X-ray diffraction stick pattern, CuKα. Input: a structure optimized by DFT (PBE).
No peak broadening, texture or thermal motion is included.

Principal peaks in the range 5 to 70 degrees two-theta, sorted by position:
d/Å	2θ (°)	Rel. int.
3.642	24.44	63.4
3.597	24.75	58.7
3.466	25.71	100.0
3.418	26.07	66.1
3.189	27.98	71.2
2.950	30.30	63.1

Structural model:
Cell lengths 5.901, 7.497, 8.728 Å; angles 69.38, 89.44, 88.66 degrees
Element x y z (fractional)
Li 0.000 0.000 0.000
Tl 0.323 0.999 0.470
Tl 0.435 0.616 0.116
Tl 0.443 0.224 0.822
Tl 0.803 0.802 0.368
Tl 0.880 0.322 0.425
Tl 0.929 0.671 0.810
C 0.032 0.272 0.075
C 0.306 0.571 0.507
O 0.018 0.293 0.919
O 0.086 0.105 0.178
O 0.290 0.711 0.364
O 0.295 0.395 0.514
O 0.333 0.612 0.638
O 0.992 0.418 0.120
F 0.205 0.883 0.903
F 0.728 0.883 0.068

=====

No. 11
# Ba4TlPt
Simulated X-ray diffraction stick pattern, CuKα. Input: a structure optimized by DFT (PBE).
No peak broadening, texture or thermal motion is included.

Principal peaks in the range 5 to 70 degrees two-theta, sorted by position:
d/Å	2θ (°)	Rel. int.
5.154	17.21	100.0
4.439	20.00	76.4
3.310	26.94	90.4
3.218	27.72	64.3
3.010	29.68	68.8
2.882	31.03	61.4

Structural model:
Cell lengths 10.051, 10.051, 7.952 Å; angles 107.69, 107.69, 117.68 degrees
Element x y z (fractional)
Ba 0.066 0.652 0.865
Ba 0.212 0.281 0.732
Ba 0.281 0.212 0.232
Ba 0.348 0.934 0.635
Ba 0.652 0.066 0.365
Ba 0.719 0.788 0.768
Ba 0.788 0.719 0.268
Ba 0.934 0.348 0.135
Tl 0.371 0.629 0.250
Tl 0.629 0.371 0.750
Pt 0.074 0.926 0.750
Pt 0.926 0.074 0.250

=====

No. 12
# Li12Tl2Cd5
Simulated X-ray diffraction stick pattern, CuKα. Input: a structure optimized by DFT (PBE).
No peak broadening, texture or thermal motion is included.

Principal peaks in the range 5 to 70 degrees two-theta, sorted by position:
d/Å	2θ (°)	Rel. int.
4.075	21.81	100.0
3.748	23.74	36.8
3.455	25.79	57.1
3.316	26.89	59.3
2.442	36.81	46.5
2.363	38.08	68.1

Structural model:
Cell lengths 8.993, 8.993, 4.991 Å; angles 99.70, 99.70, 65.76 degrees
Element x y z (fractional)
Li 0.052 0.551 0.804
Li 0.062 0.062 0.275
Li 0.154 0.644 0.408
Li 0.356 0.846 0.592
Li 0.386 0.386 0.960
Li 0.449 0.948 0.196
Li 0.551 0.052 0.804
Li 0.614 0.614 0.040
Li 0.644 0.154 0.408
Li 0.846 0.356 0.592
Li 0.938 0.938 0.725
Li 0.948 0.449 0.196
Tl 0.256 0.744 0.000
Tl 0.744 0.256 0.000
Cd 0.175 0.175 0.838
Cd 0.284 0.284 0.404
Cd 0.500 0.500 0.500
Cd 0.716 0.716 0.596
Cd 0.825 0.825 0.162

=====

No. 13
# MgIn
Simulated X-ray diffraction stick pattern, CuKα. Input: a structure optimized by DFT (PBE).
No peak broadening, texture or thermal motion is included.

Principal peaks in the range 5 to 70 degrees two-theta, sorted by position:
d/Å	2θ (°)	Rel. int.
3.618	24.60	50.7
2.558	35.07	100.0
2.089	43.31	14.9
1.809	50.45	17.3
1.618	56.91	19.5
1.477	62.92	34.6

Structural model:
Cell lengths 3.618, 3.618, 3.618 Å; angles 90.00, 90.00, 90.00 degrees
Element x y z (fractional)
Mg 0.000 0.000 0.000
In 0.500 0.500 0.500